# K5In3F14
Simulated powder diffraction line list, Cu Kα (λ = 1.5418 Å). Input: a PBE-relaxed structure.

Crystal structure
a = 8.0590 Å, b = 8.0590 Å, c = 12.1354 Å
α = 90.00°, β = 90.00°, γ = 90.00°
Space group P4/mnc (No. 128)
Asymmetric unit:
K 0.0000 0.0000 0.0000
K 0.2144 0.2856 0.2500
In 0.0000 0.0000 0.5000
In 0.0000 0.5000 0.0000
F 0.0000 0.0000 0.3280
F 0.0465 0.6808 0.1200
F 0.0875 0.2485 0.5000

Peak list (10 most intense, 2θ = 5–70°, by angle)
2theta	I_rel
13.19	19
14.60	35
22.06	24
26.55	100
29.44	16
31.40	25
43.58	31
44.99	15
50.49	19
53.01	28

---

# K2TeH6SeO10
Simulated powder diffraction line list, Cu Kα (λ = 1.5418 Å). Input: a PBE-relaxed structure.

Crystal structure
a = 11.7163 Å, b = 6.5257 Å, c = 13.9973 Å
α = 90.00°, β = 106.50°, γ = 90.00°
Space group Cc (No. 9)
Asymmetric unit:
K 0.0000 0.1950 0.0000
K 0.2989 0.2130 0.7854
Te 0.3984 0.2487 0.1455
H 0.0417 0.0147 0.7539
H 0.0558 0.4791 0.2116
H 0.2444 0.4806 0.5762
H 0.2563 0.0097 0.0398
H 0.3100 0.2944 0.2845
H 0.4856 0.1996 0.0074
Se 0.1490 0.2828 0.3959
O 0.0317 0.1319 0.3478
O 0.0502 0.1114 0.6996
O 0.1131 0.4344 0.4804
O 0.1835 0.4221 0.3058
O 0.2466 0.1061 0.0937
O 0.2682 0.1402 0.4487
O 0.3193 0.4846 0.6329
O 0.3830 0.2197 0.2808
O 0.4138 0.2787 0.0099
O 0.4808 0.0144 0.6551

Peak list (10 most intense, 2θ = 5–70°, by angle)
2theta	I_rel
17.48	35
17.90	80
23.36	44
23.55	100
26.60	70
27.34	24
36.26	22
38.88	21
44.96	17
47.85	16